Diffraction record for CdGaHg2. The X-ray diffraction stick pattern is simulated, not measured: it uses a DFT-relaxed cell (PBE, Alexandria) and Cu Ka.

```
data_CdGaHg2
_chemical_formula_sum 'Cd3 Ga3 Hg6'
_cell_length_a 3.1889
_cell_length_b 3.1889
_cell_length_c 32.5535
_cell_angle_alpha 90.00
_cell_angle_beta 90.00
_cell_angle_gamma 120.00
_symmetry_space_group_name_H-M 'R -3 m'
_symmetry_Int_Tables_number 166
_symmetry_space_group_name_Hall '-R 3 2"'
loop_
_atom_site_label
_atom_site_fract_x
_atom_site_fract_y
_atom_site_fract_z
_atom_site_occupancy
Cd1 0.0000 0.0000 0.0000 1
Ga1 0.0000 0.0000 0.5000 1
Hg1 0.0000 0.0000 0.4150 1
```

The 8 most intense peaks (5° ≤ 2θ ≤ 70°), by angle:
- 16.34°, intensity 51.0
- 32.54°, intensity 64.9
- 32.90°, intensity 100.0
- 33.02°, intensity 77.8
- 35.30°, intensity 90.5
- 37.89°, intensity 65.4
- 42.95°, intensity 59.4
- 68.21°, intensity 69.4



Diffraction record for Cd5GaHg2. The X-ray diffraction stick pattern is simulated, not measured: it uses a DFT-relaxed cell (PBE, Alexandria) and Cu Ka.

```
data_Cd5GaHg2
_chemical_formula_sum 'Cd20 Ga4 Hg8'
_cell_length_a 3.0261
_cell_length_b 18.5947
_cell_length_c 14.5462
_cell_angle_alpha 90.00
_cell_angle_beta 90.00
_cell_angle_gamma 90.00
_symmetry_space_group_name_H-M 'C m c m'
_symmetry_Int_Tables_number 63
_symmetry_space_group_name_Hall '-C 2c 2'
loop_
_atom_site_label
_atom_site_fract_x
_atom_site_fract_y
_atom_site_fract_z
_atom_site_occupancy
Cd1 0.0000 0.0494 0.0789 1
Cd2 0.0000 0.2114 0.0735 1
Cd3 0.0000 0.2383 0.7500 1
Ga1 0.0000 0.1201 0.2500 1
Hg1 0.0000 0.1069 0.6311 1
```

The 8 most intense peaks (5° ≤ 2θ ≤ 70°), by angle:
- 28.81°, intensity 28.0
- 29.92°, intensity 100.0
- 32.24°, intensity 57.2
- 34.34°, intensity 94.7
- 37.94°, intensity 36.1
- 39.02°, intensity 28.8
- 42.80°, intensity 46.4
- 45.67°, intensity 30.9